Record 1
Structure and calculated powder diffraction line list of AcGa2Rh5 (a structure optimized by DFT (PBE); Cu Kα, 1.54184 Å).

Structure:
```
data_AcGa2Rh5
_chemical_formula_sum 'Ac2 Ga4 Rh10'
_symmetry_space_group_name_H-M 'I m m m'
_symmetry_Int_Tables_number 71
_symmetry_space_group_name_Hall '-I 2 2'
_cell_length_a 3.947
_cell_length_b 6.994
_cell_length_c 10.207
_cell_angle_alpha 90.00
_cell_angle_beta 90.00
_cell_angle_gamma 90.00
loop_
_atom_site_label
_atom_site_type_symbol
_atom_site_fract_x
_atom_site_fract_y
_atom_site_fract_z
_atom_site_occupancy
Ac1 Ac 0.000 0.000 0.000 1
Ga1 Ga 0.000 0.500 0.239 1
Rh1 Rh 0.000 0.194 0.360 1
Rh2 Rh 0.000 0.500 0.000 1
```

Most intense lines, 2θ = 10–90°, in order of rising 2θ:
| 2θ/deg | Rel. int. | hkl |
| --- | --- | --- |
| 29.19 | 208 | 0 1 3 |
| 31.38 | 252 | 1 1 2 |
| 34.81 | 790 | 1 0 3 |
| 35.40 | 1000 | 1 2 1 |
| 43.92 | 547 | 0 2 4 |
| 45.99 | 325 | 2 0 0 |
| 48.75 | 151 | 1 3 2 |
| 50.32 | 160 | 1 0 5 |
| 58.47 | 149 | 1 3 4 |
| 65.48 | 329 | 2 2 4 |

=====

Record 2
Structure and calculated powder diffraction line list of Ac12Ga6Rh (a structure optimized by DFT (PBE); Cu Kα, 1.54184 Å).

Structure:
```
data_Ac12Ga6Rh
_chemical_formula_sum 'Ac36 Ga18 Rh3'
_symmetry_space_group_name_H-M 'R -3'
_symmetry_Int_Tables_number 148
_symmetry_space_group_name_Hall '-R 3'
_cell_length_a 13.9572
_cell_length_b 13.9572
_cell_length_c 13.0541
_cell_angle_alpha 90.00
_cell_angle_beta 90.00
_cell_angle_gamma 120.00
loop_
_atom_site_label
_atom_site_type_symbol
_atom_site_fract_x
_atom_site_fract_y
_atom_site_fract_z
_atom_site_occupancy
Ac1 Ac 0.0339 0.8245 0.3937 1
Ac2 Ac 0.0493 0.8493 0.8817 1
Ga1 Ga 0.0526 0.7769 0.6445 1
Rh1 Rh 0.0000 0.0000 0.0000 1
```

Most intense lines, 2θ = 10–90°, in order of rising 2θ:
| 2θ/deg | Rel. int. | hkl |
| --- | --- | --- |
| 20.02 | 167 | 2 0 2 |
| 22.06 | 174 | 3 0 0 |
| 23.77 | 1000 | 1 2 2 |
| 28.33 | 376 | 1 0 4 |
| 29.96 | 610 | 4 -1 2 |
| 33.75 | 625 | 3 -1 4 |
| 33.99 | 658 | 4 1 0 |
| 48.65 | 239 | 2 4 4 |
| 49.37 | 219 | 2 2 6 |
| 64.44 | 169 | 7 -2 6 |

=====

Record 3
Structure and calculated powder diffraction line list of Ac6GaRh4 (a structure optimized by DFT (PBE); Cu Kα, 1.54184 Å).

Structure:
```
data_Ac6GaRh4
_chemical_formula_sum 'Ac24 Ga4 Rh16'
_symmetry_space_group_name_H-M 'C m c m'
_symmetry_Int_Tables_number 63
_symmetry_space_group_name_Hall '-C 2c 2'
_cell_length_a 4.288
_cell_length_b 14.408
_cell_length_c 22.051
_cell_angle_alpha 90.00
_cell_angle_beta 90.00
_cell_angle_gamma 90.00
loop_
_atom_site_label
_atom_site_type_symbol
_atom_site_fract_x
_atom_site_fract_y
_atom_site_fract_z
_atom_site_occupancy
Ac1 Ac 0.000 0.000 0.000 1
Ac2 Ac 0.000 0.168 0.250 1
Ac3 Ac 0.000 0.270 0.584 1
Ac4 Ac 0.000 0.458 0.157 1
Ga1 Ga 0.000 0.158 0.750 1
Rh1 Rh 0.000 0.098 0.129 1
Rh2 Rh 0.000 0.362 0.043 1
```

Most intense lines, 2θ = 10–90°, in order of rising 2θ:
| 2θ/deg | Rel. int. | hkl |
| --- | --- | --- |
| 27.06 | 308 | 1 1 4 |
| 27.24 | 1000 | 0 2 6 |
| 28.19 | 544 | 1 3 1 |
| 29.07 | 966 | 1 3 2 |
| 30.48 | 546 | 1 3 3 |
| 41.14 | 333 | 1 5 4 |
| 42.15 | 390 | 2 0 0 |
| 42.94 | 493 | 0 6 5 |
| 43.02 | 364 | 1 5 5 |
| 50.91 | 418 | 2 2 6 |

=====

Repeat the second record exactly.
Structure and calculated powder diffraction line list of Ac12Ga6Rh (a structure optimized by DFT (PBE); Cu Kα, 1.54184 Å).

Structure:
```
data_Ac12Ga6Rh
_chemical_formula_sum 'Ac36 Ga18 Rh3'
_symmetry_space_group_name_H-M 'R -3'
_symmetry_Int_Tables_number 148
_symmetry_space_group_name_Hall '-R 3'
_cell_length_a 13.9572
_cell_length_b 13.9572
_cell_length_c 13.0541
_cell_angle_alpha 90.00
_cell_angle_beta 90.00
_cell_angle_gamma 120.00
loop_
_atom_site_label
_atom_site_type_symbol
_atom_site_fract_x
_atom_site_fract_y
_atom_site_fract_z
_atom_site_occupancy
Ac1 Ac 0.0339 0.8245 0.3937 1
Ac2 Ac 0.0493 0.8493 0.8817 1
Ga1 Ga 0.0526 0.7769 0.6445 1
Rh1 Rh 0.0000 0.0000 0.0000 1
```

Most intense lines, 2θ = 10–90°, in order of rising 2θ:
| 2θ/deg | Rel. int. | hkl |
| --- | --- | --- |
| 20.02 | 167 | 2 0 2 |
| 22.06 | 174 | 3 0 0 |
| 23.77 | 1000 | 1 2 2 |
| 28.33 | 376 | 1 0 4 |
| 29.96 | 610 | 4 -1 2 |
| 33.75 | 625 | 3 -1 4 |
| 33.99 | 658 | 4 1 0 |
| 48.65 | 239 | 2 4 4 |
| 49.37 | 219 | 2 2 6 |
| 64.44 | 169 | 7 -2 6 |